1.
This entry pairs a crystal structure of Gd3CCl3 with its simulated PXRD pattern. Radiation: λ = 1.5418 Å (Cu Kα). Structure: a structure optimized by DFT (GGA-PBE).

Top 10 peaks for 10° ≤ 2θ ≤ 90°, low angle first:
| 2theta | I (rel.) | h k l |
| --- | --- | --- |
| 11.59 | 70 | 1 1 0 |
| 28.63 | 66 | 2 2 2 |
| 30.98 | 50 | 3 2 1 |
| 33.18 | 100 | 4 0 0 |
| 39.12 | 28 | 3 3 2 |
| 47.63 | 63 | 4 4 0 |
| 56.52 | 23 | 6 2 2 |
| 59.28 | 19 | 4 4 4 |
| 63.28 | 22 | 7 2 1 |
| 79.36 | 19 | 8 4 0 |

Structural model:
Lattice parameters (Å, degrees): 10.800 10.800 10.800 90.00 90.00 90.00
Space group I4_132 (No. 214)
One atom of each set of equivalent atoms:
Gd: 0.107 0.357 0.125 (multiplicity 24)
C: 0.125 0.125 0.125 (multiplicity 8)
Cl: 0.118 0.132 0.625 (multiplicity 24)

=====

2.
This entry pairs a crystal structure of PrGd3C2Cl2 with its simulated PXRD pattern. Radiation: λ = 1.5418 Å (Cu Kα). Structure: a structure optimized by DFT (GGA-PBE).

Top 10 peaks for 10° ≤ 2θ ≤ 90°, low angle first:
| 2theta | I (rel.) | h k l |
| --- | --- | --- |
| 12.61 | 16 | 0 0 2 |
| 25.38 | 13 | 0 0 4 |
| 27.84 | 26 | 1 0 0 |
| 28.57 | 26 | 1 0 1 |
| 33.90 | 100 | 1 0 3 |
| 49.25 | 25 | 1 1 0 |
| 53.94 | 13 | 1 0 7 |
| 61.13 | 18 | 0 2 3 |
| 64.17 | 17 | 1 1 6 |
| 82.21 | 15 | 2 1 3 |

Structural model:
Lattice parameters (Å, degrees): 3.7004 3.7004 14.0378 90.00 90.00 120.00
Space group P3m1 (No. 156)
One atom of each set of equivalent atoms:
Pr: 0.0000 0.0000 0.0000 (multiplicity 1)
Gd: 0.0000 0.0000 0.3135 (multiplicity 1)
Gd: 0.6667 0.3333 0.5001 (multiplicity 1)
Gd: 0.6667 0.3333 0.8065 (multiplicity 1)
C: 0.3333 0.6667 0.4072 (multiplicity 1)
C: 0.3333 0.6667 0.8946 (multiplicity 1)
Cl: 0.0000 0.0000 0.6514 (multiplicity 1)
Cl: 0.6667 0.3333 0.1660 (multiplicity 1)

=====

3.
This entry pairs a crystal structure of Gd2Y2CCl5 with its simulated PXRD pattern. Radiation: λ = 1.5418 Å (Cu Kα). Structure: a structure optimized by DFT (GGA-PBE).

Top 10 peaks for 10° ≤ 2θ ≤ 90°, low angle first:
| 2theta | I (rel.) | h k l |
| --- | --- | --- |
| 10.63 | 94 | 2 0 0 |
| 11.53 | 67 | 0 0 1 |
| 23.21 | 20 | 0 0 2 |
| 24.27 | 25 | 1 1 0 |
| 28.69 | 27 | 3 1 0 |
| 32.27 | 48 | 6 0 0 |
| 32.94 | 100 | 1 1 -2 |
| 36.03 | 33 | 5 1 0 |
| 46.69 | 29 | 5 1 2 |
| 46.89 | 29 | 7 1 -2 |

Structural model:
Lattice parameters (Å, degrees): 17.079 3.759 7.875 90.00 102.99 90.00
Space group C2/m (No. 12)
One atom of each set of equivalent atoms:
Gd: 0.002 0.000 0.289 (multiplicity 4)
Y: 0.144 0.500 0.578 (multiplicity 4)
C: 0.000 0.500 0.500 (multiplicity 2)
Cl: 0.000 0.500 0.000 (multiplicity 2)
Cl: 0.164 0.000 0.832 (multiplicity 4)
Cl: 0.173 0.000 0.341 (multiplicity 4)

=====

4.
This entry pairs a crystal structure of GdZrCCl2 with its simulated PXRD pattern. Radiation: λ = 1.5418 Å (Cu Kα). Structure: a structure optimized by DFT (GGA-PBE).

Top 10 peaks for 10° ≤ 2θ ≤ 90°, low angle first:
| 2theta | I (rel.) | h k l |
| --- | --- | --- |
| 28.99 | 28 | 1 0 0 |
| 30.47 | 31 | 1 0 1 |
| 34.54 | 100 | 0 1 2 |
| 40.52 | 23 | 0 1 3 |
| 47.85 | 18 | 1 0 4 |
| 51.39 | 23 | 1 1 0 |
| 56.18 | 12 | 1 0 5 |
| 63.40 | 16 | 2 0 2 |
| 65.14 | 13 | 1 1 4 |
| 85.89 | 14 | 1 2 2 |

Structural model:
Lattice parameters (Å, degrees): 3.5559 3.5559 9.6650 90.00 90.00 120.00
Space group P3m1 (No. 156)
One atom of each set of equivalent atoms:
Gd: 0.0000 0.0000 0.0000 (multiplicity 1)
Zr: 0.3333 0.6667 0.7285 (multiplicity 1)
C: 0.6667 0.3333 0.8455 (multiplicity 1)
Cl: 0.0000 0.0000 0.5476 (multiplicity 1)
Cl: 0.3333 0.6667 0.1911 (multiplicity 1)

=====

What did the second record say?
This entry pairs a crystal structure of PrGd3C2Cl2 with its simulated PXRD pattern. Radiation: λ = 1.5418 Å (Cu Kα). Structure: a structure optimized by DFT (GGA-PBE).

Top 10 peaks for 10° ≤ 2θ ≤ 90°, low angle first:
| 2theta | I (rel.) | h k l |
| --- | --- | --- |
| 12.61 | 16 | 0 0 2 |
| 25.38 | 13 | 0 0 4 |
| 27.84 | 26 | 1 0 0 |
| 28.57 | 26 | 1 0 1 |
| 33.90 | 100 | 1 0 3 |
| 49.25 | 25 | 1 1 0 |
| 53.94 | 13 | 1 0 7 |
| 61.13 | 18 | 0 2 3 |
| 64.17 | 17 | 1 1 6 |
| 82.21 | 15 | 2 1 3 |

Structural model:
Lattice parameters (Å, degrees): 3.7004 3.7004 14.0378 90.00 90.00 120.00
Space group P3m1 (No. 156)
One atom of each set of equivalent atoms:
Pr: 0.0000 0.0000 0.0000 (multiplicity 1)
Gd: 0.0000 0.0000 0.3135 (multiplicity 1)
Gd: 0.6667 0.3333 0.5001 (multiplicity 1)
Gd: 0.6667 0.3333 0.8065 (multiplicity 1)
C: 0.3333 0.6667 0.4072 (multiplicity 1)
C: 0.3333 0.6667 0.8946 (multiplicity 1)
Cl: 0.0000 0.0000 0.6514 (multiplicity 1)
Cl: 0.6667 0.3333 0.1660 (multiplicity 1)